Computed PXRD pattern
Compound: VReO4
Radiation: copper Kα
Structure: the PBE+U geometry in the Materials Project
Lines closer than 0.1° are merged.

a = 9.553 Å, b = 11.587 Å, c = 4.778 Å
α = 90.00°, β = 91.89°, γ = 90.00°
Space group Cm (No. 8)
Asymmetric unit:
V  0.000  0.126  0.000
V  0.001  0.374  0.000
Re  0.249  0.000  0.500
Re  0.249  0.500  0.501
Re  0.250  0.250  0.499
O  0.104  0.500  0.209
O  0.105  0.000  0.211
O  0.106  0.251  0.212
O  0.146  0.125  0.706
O  0.146  0.375  0.707
O  0.353  0.126  0.293
O  0.353  0.375  0.292
O  0.393  0.249  0.787
O  0.394  0.000  0.788
O  0.394  0.500  0.788

Top 10 peaks for 10 to 90 degrees two-theta, in order of falling intensity:
| Position (°2θ) | d/Å | intensity |
| --- | --- | --- |
| 36.3 | 2.477 | 100.0 |
| 18.6 | 4.775 | 96.6 |
| 26.0 | 3.433 | 72.9 |
| 26.8 | 3.322 | 66.4 |
| 52.8 | 1.734 | 43.9 |
| 53.8 | 1.704 | 40.6 |
| 37.7 | 2.387 | 29.8 |
| 40.8 | 2.214 | 28.8 |
| 67.1 | 1.395 | 24.9 |
| 42.9 | 2.108 | 17.8 |